The following is a computed X-ray powder pattern of SrAl2Au3. It was derived from DFT lattice parameters and positions (PBE), using a wavelength of 1.5418 Å.
No peak broadening, texture or thermal motion is included.

Cell and atoms:
```
SrAl2Au3
1.0
13.3055 0.0000 0.0000
0.0000 5.5830 0.0000
0.0000 0.0000 6.9374
Sr Al Au
4 8 12
Direct
0.0887 0.2500 0.1537
0.4113 0.7500 0.6537
0.5887 0.2500 0.3463
0.9113 0.7500 0.8463
0.1519 0.0007 0.6393
0.1519 0.4993 0.6393
0.3481 0.5007 0.1393
0.3481 0.9993 0.1393
0.6519 0.0007 0.8607
0.6519 0.4993 0.8607
0.8481 0.5007 0.3607
0.8481 0.9993 0.3607
0.0068 0.7500 0.4036
0.1898 0.7500 0.9412
0.2170 0.7500 0.3464
0.2830 0.2500 0.8464
0.3102 0.2500 0.4412
0.4932 0.2500 0.9036
0.5068 0.7500 0.0964
0.6898 0.7500 0.5588
0.7170 0.7500 0.1536
0.7830 0.2500 0.6536
0.8102 0.2500 0.0588
0.9932 0.2500 0.5964
```

Largest 10 diffraction maxima, sorted by position, 10° ≤ 2θ ≤ 80°:
23.81 deg, rel. 44; 26.56 deg, rel. 32; 31.09 deg, rel. 100; 31.30 deg, rel. 60; 32.06 deg, rel. 77; 33.93 deg, rel. 46; 40.33 deg, rel. 39; 42.10 deg, rel. 37; 42.86 deg, rel. 42; 45.95 deg, rel. 47



The following is a computed X-ray powder pattern of CePmNd2Tm. It was derived from DFT lattice parameters and positions (PBE), using a wavelength of 1.5418 Å.
No peak broadening, texture or thermal motion is included.

Cell and atoms:
```
CePmNd2Tm
1.0
8.4704 0.0000 0.0000
0.0000 6.3613 0.0000
-0.0461 0.0000 6.2327
Ce Pm Nd Tm
2 2 4 2
Direct
0.0000 0.0458 0.2500
0.0000 0.9542 0.7500
0.0000 0.5000 0.0000
0.0000 0.5000 0.5000
0.3070 0.1957 0.7476
0.3070 0.8043 0.2476
0.6930 0.1957 0.7524
0.6930 0.8043 0.2524
0.5000 0.3233 0.2500
0.5000 0.6767 0.7500
```

Largest 10 diffraction maxima, sorted by position, 10° ≤ 2θ ≤ 80°:
28.64 deg, rel. 58; 29.02 deg, rel. 85; 29.18 deg, rel. 86; 30.01 deg, rel. 100; 31.98 deg, rel. 39; 33.35 deg, rel. 57; 33.66 deg, rel. 38; 33.80 deg, rel. 39; 35.29 deg, rel. 36; 56.73 deg, rel. 39



The following is a computed X-ray powder pattern of NdGe2Ir4. It was derived from DFT lattice parameters and positions (PBE), using a wavelength of 1.5418 Å.
No peak broadening, texture or thermal motion is included.

Cell and atoms:
```
NdGe2Ir4
1.0
7.7888 0.0000 0.0000
0.0000 7.7888 0.0000
0.0000 0.0000 3.9568
Nd Ge Ir
2 4 8
Direct
0.0000 0.0000 0.0000
0.5000 0.5000 0.5000
0.2258 0.2258 0.5000
0.2742 0.7258 0.0000
0.7258 0.2742 0.0000
0.7742 0.7742 0.5000
0.0779 0.6571 0.5000
0.1571 0.4221 0.0000
0.3429 0.9221 0.5000
0.4221 0.1571 0.0000
0.5779 0.8429 0.0000
0.6571 0.0779 0.5000
0.8429 0.5779 0.0000
0.9221 0.3429 0.5000
```

Largest 10 diffraction maxima, sorted by position, 10° ≤ 2θ ≤ 80°:
16.09 deg, rel. 43; 34.30 deg, rel. 100; 36.48 deg, rel. 48; 39.88 deg, rel. 68; 43.27 deg, rel. 71; 45.87 deg, rel. 36; 48.17 deg, rel. 29; 59.97 deg, rel. 23; 64.26 deg, rel. 21; 68.70 deg, rel. 20



The following is a computed X-ray powder pattern of K3ICl6. It was derived from DFT lattice parameters and positions (PBE), using a wavelength of 1.5418 Å.
No peak broadening, texture or thermal motion is included.

Cell and atoms:
```
K3ICl6
1.0
5.1262 0.0000 0.0000
0.0000 8.4926 0.0000
-4.6274 0.0000 16.1357
K I Cl
6 2 12
Direct
0.0000 0.0000 0.0000
0.0000 0.5000 0.5000
0.3067 0.1745 0.7425
0.3067 0.3255 0.2425
0.6933 0.6745 0.7575
0.6933 0.8255 0.2575
0.5000 0.0000 0.5000
0.5000 0.5000 0.0000
0.1277 0.5156 0.6910
0.1277 0.9844 0.1910
0.2654 0.6244 0.0989
0.2654 0.8756 0.5989
0.4730 0.7360 0.4272
0.4730 0.7640 0.9272
0.5270 0.2360 0.0728
0.5270 0.2640 0.5728
0.7346 0.1244 0.4011
0.7346 0.3756 0.9011
0.8723 0.0156 0.8090
0.8723 0.4844 0.3090
```

Largest 10 diffraction maxima, sorted by position, 10° ≤ 2θ ≤ 80°:
10.97 deg, rel. 61; 11.78 deg, rel. 99; 19.54 deg, rel. 59; 20.24 deg, rel. 93; 22.82 deg, rel. 100; 23.63 deg, rel. 98; 26.56 deg, rel. 48; 30.53 deg, rel. 56; 36.25 deg, rel. 86; 39.67 deg, rel. 62



The following is a computed X-ray powder pattern of TbVRh. It was derived from DFT lattice parameters and positions (PBE), using a wavelength of 1.5418 Å.
No peak broadening, texture or thermal motion is included.

Cell and atoms:
```
TbVRh
1.0
3.4447 0.0000 0.0000
0.0000 3.4447 0.0000
0.0000 0.0000 9.7548
Tb V Rh
2 2 2
Direct
0.0000 0.0000 0.1720
0.0000 0.0000 0.8280
0.5000 0.5000 0.3961
0.5000 0.5000 0.6039
0.0000 0.0000 0.5000
0.5000 0.5000 0.0000
```

Largest 10 diffraction maxima, sorted by position, 10° ≤ 2θ ≤ 80°:
25.86 deg, rel. 19; 27.43 deg, rel. 14; 31.80 deg, rel. 21; 36.90 deg, rel. 67; 38.06 deg, rel. 100; 46.58 deg, rel. 17; 53.18 deg, rel. 23; 60.85 deg, rel. 13; 63.27 deg, rel. 16; 67.25 deg, rel. 36



The following is a computed X-ray powder pattern of Mo2Pd2Rh. It was derived from DFT lattice parameters and positions (PBE), using a wavelength of 1.5418 Å.
No peak broadening, texture or thermal motion is included.

Cell and atoms:
```
Mo2Pd2Rh
1.0
3.8727 0.0000 0.0000
1.9357 4.4307 0.0000
1.9353 -0.0611 4.4348
Mo Pd Rh
2 2 1
Direct
0.1105 0.1040 0.1776
0.8895 0.8960 0.8224
0.2994 0.2968 0.6038
0.7006 0.7032 0.3962
0.5000 0.5000 0.0000
```

Largest 10 diffraction maxima, sorted by position, 10° ≤ 2θ ≤ 80°:
39.57 deg, rel. 100; 39.81 deg, rel. 100; 45.52 deg, rel. 34; 46.02 deg, rel. 32; 46.92 deg, rel. 31; 66.39 deg, rel. 10; 67.07 deg, rel. 10; 67.44 deg, rel. 20; 67.83 deg, rel. 20; 79.93 deg, rel. 12



The following is a computed X-ray powder pattern of BC11. It was derived from DFT lattice parameters and positions (PBE), using a wavelength of 1.5418 Å.
No peak broadening, texture or thermal motion is included.

Cell and atoms:
```
BC11
1.0
2.5224 0.0000 0.0000
0.0000 7.6630 0.0000
0.0000 0.0000 3.6369
B C
1 11
Direct
0.0000 0.0000 0.0000
0.0000 0.1736 0.7613
0.0000 0.3356 0.0103
0.0000 0.5000 0.7599
0.0000 0.6644 0.0103
0.0000 0.8264 0.7613
0.5000 0.0000 0.2960
0.5000 0.1699 0.5139
0.5000 0.3347 0.2580
0.5000 0.5000 0.5107
0.5000 0.6653 0.2580
0.5000 0.8301 0.5139
```

Largest 9 diffraction maxima, sorted by position, 10° ≤ 2θ ≤ 80°:
11.55 deg, rel. 4; 23.21 deg, rel. 1; 24.48 deg, rel. 1; 27.14 deg, rel. 2; 33.99 deg, rel. 1; 43.28 deg, rel. 96; 43.67 deg, rel. 100; 74.25 deg, rel. 63; 75.36 deg, rel. 12



The following is a computed X-ray powder pattern of Mg2Ga3Os. It was derived from DFT lattice parameters and positions (PBE), using a wavelength of 1.5418 Å.
No peak broadening, texture or thermal motion is included.

Cell and atoms:
```
Mg2Ga3Os
1.0
2.6513 1.5307 4.1622
-2.6513 1.5307 4.1622
0.0000 -3.0614 4.1622
Mg Ga Os
2 3 1
Direct
0.1302 0.1302 0.1302
0.8698 0.8698 0.8698
0.0000 0.5000 0.5000
0.5000 0.0000 0.5000
0.5000 0.5000 0.0000
0.5000 0.5000 0.5000
```

Largest 10 diffraction maxima, sorted by position, 10° ≤ 2θ ≤ 80°:
20.61 deg, rel. 100; 24.06 deg, rel. 16; 33.81 deg, rel. 16; 40.33 deg, rel. 65; 41.15 deg, rel. 29; 41.92 deg, rel. 53; 43.49 deg, rel. 17; 49.27 deg, rel. 26; 53.29 deg, rel. 16; 64.91 deg, rel. 16



The following is a computed X-ray powder pattern of Tb2PmDyHo4. It was derived from DFT lattice parameters and positions (PBE), using a wavelength of 1.5418 Å.
No peak broadening, texture or thermal motion is included.

Cell and atoms:
```
Tb2PmDyHo4
1.0
6.7802 -6.6205 0.0000
6.7802 6.6205 0.0000
-3.3950 0.0000 5.8750
Tb Pm Dy Ho
4 2 2 8
Direct
0.0000 0.0000 0.0000
0.0000 0.0000 0.5000
0.0000 0.5000 0.0000
0.5000 0.0000 0.5000
0.0000 0.5000 0.5000
0.5000 0.0000 0.0000
0.5000 0.5000 0.0000
0.5000 0.5000 0.5000
0.2495 0.2514 0.9997
0.2500 0.7489 0.4984
0.2514 0.2495 0.4997
0.2511 0.7500 0.0016
0.7489 0.2500 0.9984
0.7486 0.7505 0.5003
0.7500 0.2511 0.5016
0.7505 0.7486 0.0003
```

Largest 10 diffraction maxima, sorted by position, 10° ≤ 2θ ≤ 80°:
26.93 deg, rel. 46; 30.44 deg, rel. 100; 41.09 deg, rel. 89; 54.09 deg, rel. 20; 55.52 deg, rel. 6; 61.44 deg, rel. 27; 63.32 deg, rel. 8; 63.37 deg, rel. 4; 64.64 deg, rel. 23; 70.11 deg, rel. 18



The following is a computed X-ray powder pattern of La3Mg2MoS8. It was derived from DFT lattice parameters and positions (PBE), using a wavelength of 1.5418 Å.
No peak broadening, texture or thermal motion is included.

Cell and atoms:
```
La3Mg2MoS8
1.0
4.0598 2.3440 6.3863
-4.0598 2.3440 6.3863
0.0000 -4.6879 6.3863
La Mg Mo S
3 2 1 8
Direct
0.0000 0.5000 0.5000
0.5000 0.0000 0.5000
0.5000 0.5000 0.0000
0.1261 0.1261 0.1261
0.8739 0.8739 0.8739
0.5000 0.5000 0.5000
0.2521 0.2521 0.2521
0.2632 0.7295 0.7295
0.2705 0.2705 0.7368
0.2705 0.7368 0.2705
0.7295 0.2632 0.7295
0.7295 0.7295 0.2632
0.7368 0.2705 0.2705
0.7479 0.7479 0.7479
```

Largest 10 diffraction maxima, sorted by position, 10° ≤ 2θ ≤ 80°:
13.41 deg, rel. 76; 13.87 deg, rel. 26; 25.76 deg, rel. 42; 26.01 deg, rel. 43; 26.49 deg, rel. 24; 31.57 deg, rel. 100; 41.34 deg, rel. 20; 44.64 deg, rel. 48; 45.85 deg, rel. 43; 55.70 deg, rel. 18



The following is a computed X-ray powder pattern of K2S3. It was derived from DFT lattice parameters and positions (PBE), using a wavelength of 1.5418 Å.
No peak broadening, texture or thermal motion is included.

Cell and atoms:
```
K2S3
1.0
3.6643 -5.1092 0.0000
3.6643 5.1092 0.0000
0.0000 0.0000 7.5760
K S
4 6
Direct
0.0824 0.9176 0.5000
0.3943 0.6057 0.7299
0.6057 0.3943 0.2299
0.9176 0.0824 0.0000
0.1129 0.4267 0.3435
0.3000 0.7000 0.1889
0.4267 0.1129 0.8435
0.5733 0.8871 0.3435
0.7000 0.3000 0.6889
0.8871 0.5733 0.8435
```

Largest 10 diffraction maxima, sorted by position, 10° ≤ 2θ ≤ 80°:
23.49 deg, rel. 20; 27.91 deg, rel. 90; 31.27 deg, rel. 64; 32.30 deg, rel. 100; 34.04 deg, rel. 37; 37.14 deg, rel. 33; 39.82 deg, rel. 28; 49.76 deg, rel. 24; 54.54 deg, rel. 25; 57.11 deg, rel. 26



The following is a computed X-ray powder pattern of Ba4PtSe2Cl. It was derived from DFT lattice parameters and positions (PBE), using a wavelength of 1.5418 Å.
No peak broadening, texture or thermal motion is included.

Cell and atoms:
```
Ba4PtSe2Cl
1.0
8.0666 0.0000 0.0000
0.0000 4.6376 0.0000
-2.4895 0.0000 7.7126
Ba Pt Se Cl
4 1 2 1
Direct
0.2465 0.0000 0.2426
0.2508 0.5000 0.7667
0.7492 0.5000 0.2333
0.7535 0.0000 0.7574
0.0000 0.5000 0.0000
0.5000 0.0000 0.0000
0.5000 0.5000 0.5000
0.0000 0.0000 0.5000
```

Largest 10 diffraction maxima, sorted by position, 10° ≤ 2θ ≤ 80°:
11.48 deg, rel. 17; 26.84 deg, rel. 100; 27.29 deg, rel. 48; 37.81 deg, rel. 20; 38.58 deg, rel. 37; 38.72 deg, rel. 37; 38.84 deg, rel. 19; 48.11 deg, rel. 20; 55.32 deg, rel. 13; 63.29 deg, rel. 17